Theoretical XRD peak list of Hf4CoNiAs2 for a wavelength of 1.5418 Å, from the GGA-PBE geometry in OQMD.
Intensities are scaled so that the largest is 100.

Principal peaks in the range 10 to 80 degrees two-theta, in order of falling intensity:
- hkl 0 1 2, d = 2.554 Å, 2θ 35.14, intensity 100.0
- hkl 1 1 -1, d = 2.943 Å, 2θ 30.37, intensity 29.8
- hkl 2 0 -2, d = 2.463 Å, 2θ 36.48, intensity 26.0
- hkl 2 0 0, d = 2.494 Å, 2θ 36.01, intensity 21.3
- hkl 1 0 -3, d = 2.481 Å, 2θ 36.20, intensity 20.4
- hkl 1 0 3, d = 1.906 Å, 2θ 47.72, intensity 20.3
- hkl 2 1 -2, d = 2.045 Å, 2θ 44.29, intensity 19.4
- hkl 0 2 0, d = 1.835 Å, 2θ 49.67, intensity 19.3

Atomic structure:
```
data_Hf4CoNiAs2
_cell_length_a 5.291
_cell_length_b 3.671
_cell_length_c 7.527
_cell_angle_alpha 90.00
_cell_angle_beta 109.46
_cell_angle_gamma 90.00
_space_group_name_H-M_alt 'P 1 m 1'
_space_group_IT_number 6
_space_group_name_Hall 'P -2y'
loop_
_atom_site_label
_atom_site_fract_x
_atom_site_fract_y
_atom_site_fract_z
Hf1 0.000 0.000 0.000
Hf2 0.065 0.500 0.640
Hf3 0.465 0.000 0.473
Hf4 0.533 0.500 0.127
Co1 0.136 0.500 0.260
Ni1 0.400 0.000 0.854
As1 0.634 0.500 0.767
As2 0.899 0.000 0.351
```